CoH14C10N8O2: calculated PXRD pattern (Cu Kα, 1.54184 Å), based on the PBE+U geometry in the Materials Project.
Kinematic intensities with the Lorentz-polarization factor, no thermal factor.

The 10 most intense peaks (10° ≤ 2θ ≤ 90°), low angle first:
2θ 11.63, rel. 69, hkl 0 0 1; 2θ 13.83, rel. 61, hkl 1 1 0; 2θ 14.25, rel. 100, hkl 2 0 -1; 2θ 16.21, rel. 32, hkl 1 1 -1; 2θ 21.53, rel. 53, hkl 2 0 1; 2θ 23.03, rel. 91, hkl 3 1 -1; 2θ 23.39, rel. 27, hkl 0 0 2; 2θ 23.97, rel. 55, hkl 0 2 0; 2θ 27.39, rel. 26, hkl 3 1 -2; 2θ 27.99, rel. 40, hkl 2 2 -1

Atomic structure:
a b c (Å): 13.7654 7.4263 8.2793
angles (deg): 90.00 113.26 90.00
Space group C2/m (No. 12)
One atom of each set of equivalent atoms:
Co1 0.0000 0.0000 0.0000 x2
H1 0.1152 0.3799 0.3234 x8
H2 0.1184 0.5000 0.5137 x4
H3 0.1362 0.1196 0.6263 x8
H4 0.2298 0.0000 0.2669 x4
H5 0.2467 0.0000 0.7783 x4
C1 0.1132 0.3473 0.9190 x8
C2 0.1456 0.5000 0.4055 x4
C3 0.1829 0.0000 0.3484 x4
C4 0.1863 0.0000 0.6444 x4
N1 0.0980 0.2040 0.9663 x8
N2 0.1322 0.5000 0.8600 x4
N3 0.2390 0.0000 0.5219 x4
O1 0.0834 0.0000 0.2799 x4